Structure and computed powder X-ray diffraction pattern of BiB4Pd (a DFT-relaxed cell (PBE, OQMD); λ = 1.5418 Å (Cu Kα)).
Kinematic intensities with the Lorentz-polarization factor, no thermal factor.

Crystal structure
```
BiB4Pd
1.0
-1.542 2.615 4.428
1.542 -2.615 4.428
1.542 2.615 -4.428
Bi B Pd
1 4 1
direct
0.000 0.000 0.000 Bi
0.083 0.753 0.331 B
0.422 0.753 0.669 B
0.578 0.247 0.331 B
0.917 0.247 0.669 B
0.500 0.500 0.000 Pd
```

Most intense lines, 2θ = 10–90°, sorted by position:
2θ (°)	d/Å	intensity
19.72	4.503	23
20.05	4.428	96
33.73	2.657	63
34.29	2.615	30
39.56	2.278	100
40.05	2.252	49
40.75	2.214	25
53.90	1.701	34
54.29	1.690	17
64.96	1.436	18